The following is a computed X-ray powder pattern of BaYBr5. It was derived from a cell relaxed with PBE, using λ = 1.5418 Å (Cu Kα).
Kinematic intensities with the Lorentz-polarization factor, no thermal factor.

Cell and atoms:
Unit cell a=9.485 b=12.187 c=11.338 alpha=90.00 beta=124.31 gamma=90.00
Space group P2_1/c (No. 14)
Unique sites:
Ba 0.016 0.154 0.316 (multiplicity 4)
Y 0.397 0.002 0.266 (multiplicity 4)
Br 0.114 0.588 0.759 (multiplicity 4)
Br 0.190 0.184 0.121 (multiplicity 4)
Br 0.264 0.529 0.149 (multiplicity 4)
Br 0.312 0.610 0.528 (multiplicity 4)
Br 0.440 0.147 0.494 (multiplicity 4)

Top 10 peaks for 10° ≤ 2θ ≤ 90°, sorted by position:
d (Å)  I (rel.)  h k l
7.243  65  1 1 -1
5.047  55  1 2 -1
3.709  58  0 2 2
3.286  77  1 0 2
3.164  81  3 0 -2
3.062  93  3 1 -2
2.901  78  3 1 -1
2.738  92  1 3 -3
2.683  100  1 4 -2
2.441  75  2 3 1



The following is a computed X-ray powder pattern of TbMgAu2. It was derived from a cell relaxed with PBE, using λ = 1.5418 Å (Cu Kα).
Kinematic intensities with the Lorentz-polarization factor, no thermal factor.

Cell and atoms:
Unit cell a=6.974 b=6.974 c=6.974 alpha=90.00 beta=90.00 gamma=90.00
Space group Fm-3m (No. 225)
Unique sites:
Tb 0.000 0.000 0.000 (multiplicity 4)
Mg 0.000 0.000 0.500 (multiplicity 4)
Au 0.250 0.250 0.250 (multiplicity 8)

Top 10 peaks for 10° ≤ 2θ ≤ 90°, sorted by position:
d (Å)  I (rel.)  h k l
4.027  12  1 1 1
3.487  16  2 0 0
2.466  100  2 2 0
2.103  7  3 1 1
2.013  5  2 2 2
1.744  18  4 0 0
1.560  7  4 2 0
1.424  36  4 2 2
1.233  12  4 4 0
1.103  17  6 2 0



The following is a computed X-ray powder pattern of Nb3AlP6O24. It was derived from a cell relaxed with PBE, using λ = 1.5418 Å (Cu Kα).
Kinematic intensities with the Lorentz-polarization factor, no thermal factor.

Cell and atoms:
Unit cell a=8.7071 b=8.7071 c=22.2384 alpha=90.00 beta=90.00 gamma=120.00
Space group R3 (No. 146, hexagonal axes)
Unique sites:
Nb 0.0000 0.0000 0.0000 (multiplicity 3)
Nb 0.0000 0.0000 0.2178 (multiplicity 3)
Nb 0.0000 0.0000 0.7189 (multiplicity 3)
Al 0.0000 0.0000 0.5010 (multiplicity 3)
P 0.0012 0.7254 0.6060 (multiplicity 9)
P 0.0114 0.2938 0.1099 (multiplicity 9)
O 0.0298 0.2016 0.7671 (multiplicity 9)
O 0.0304 0.8368 0.5512 (multiplicity 9)
O 0.0312 0.1999 0.0533 (multiplicity 9)
O 0.0312 0.8293 0.2668 (multiplicity 9)
O 0.1634 0.6985 0.6168 (multiplicity 9)
O 0.1651 0.4683 0.8312 (multiplicity 9)
O 0.1656 0.6967 0.3311 (multiplicity 9)
O 0.1706 0.4739 0.1187 (multiplicity 9)

Top 10 peaks for 10° ≤ 2θ ≤ 90°, sorted by position:
d (Å)  I (rel.)  h k l
6.241  64  0 1 2
4.475  100  1 0 4
4.354  61  1 1 0
3.754  99  2 -1 3
3.120  70  0 2 4
2.823  62  1 1 6
2.536  24  2 1 4
2.514  23  3 0 0
1.753  20  3 -1 10
1.645  21  1 4 0



The following is a computed X-ray powder pattern of Na2Al2Si3H4O12. It was derived from a cell relaxed with PBE, using λ = 1.5418 Å (Cu Kα).
Kinematic intensities with the Lorentz-polarization factor, no thermal factor.

Cell and atoms:
Unit cell a=18.575 b=18.874 c=6.651 alpha=90.00 beta=90.00 gamma=90.00
Space group Fdd2 (No. 43)
Unique sites:
Na 0.030 0.282 0.000 (multiplicity 16)
Al 0.038 0.093 0.748 (multiplicity 16)
Si 0.000 0.000 0.133 (multiplicity 8)
Si 0.096 0.460 0.006 (multiplicity 16)
H 0.052 0.145 0.171 (multiplicity 16)
H 0.103 0.190 0.314 (multiplicity 16)
O 0.023 0.069 0.000 (multiplicity 16)
O 0.042 0.402 0.108 (multiplicity 16)
O 0.056 0.190 0.245 (multiplicity 16)
O 0.070 0.477 0.772 (multiplicity 16)
O 0.072 0.180 0.743 (multiplicity 16)
O 0.099 0.034 0.633 (multiplicity 16)

Top 10 peaks for 10° ≤ 2θ ≤ 90°, sorted by position:
d (Å)  I (rel.)  h k l
6.619  69  2 2 0
5.943  100  1 1 1
4.438  41  1 3 1
4.407  51  3 1 1
3.233  40  1 5 1
3.197  47  5 1 1
3.134  33  2 0 2
2.972  43  2 2 2
2.900  71  3 5 1
2.883  65  5 3 1



The following is a computed X-ray powder pattern of Ti2N2O. It was derived from a cell relaxed with PBE, using λ = 1.5418 Å (Cu Kα).
Kinematic intensities with the Lorentz-polarization factor, no thermal factor.

Cell and atoms:
Unit cell a=8.215 b=8.219 c=8.227 alpha=109.49 beta=109.45 gamma=109.40
Space group P1 (No. 1)
Unique sites:
Ti 0.000 0.000 0.000 (multiplicity 1)
Ti 0.004 0.502 0.490 (multiplicity 1)
Ti 0.046 0.801 0.330 (multiplicity 1)
Ti 0.214 0.748 0.048 (multiplicity 1)
Ti 0.251 0.537 0.281 (multiplicity 1)
Ti 0.258 0.037 0.767 (multiplicity 1)
Ti 0.290 0.338 0.529 (multiplicity 1)
Ti 0.461 0.283 0.227 (multiplicity 1)
Ti 0.502 0.577 0.065 (multiplicity 1)
Ti 0.506 0.082 0.576 (multiplicity 1)
Ti 0.545 0.789 0.824 (multiplicity 1)
Ti 0.705 0.240 0.026 (multiplicity 1)
Ti 0.751 0.538 0.793 (multiplicity 1)
Ti 0.766 0.055 0.298 (multiplicity 1)
Ti 0.792 0.831 0.522 (multiplicity 1)
Ti 0.962 0.292 0.745 (multiplicity 1)
N 0.019 0.766 0.557 (multiplicity 1)
N 0.029 0.267 0.518 (multiplicity 1)
N 0.205 0.267 0.240 (multiplicity 1)
N 0.212 0.490 0.007 (multiplicity 1)
N 0.242 0.081 0.547 (multiplicity 1)
N 0.293 0.593 0.556 (multiplicity 1)
N 0.302 0.815 0.319 (multiplicity 1)
N 0.478 0.991 0.770 (multiplicity 1)
N 0.482 0.314 0.008 (multiplicity 1)
N 0.522 0.534 0.823 (multiplicity 1)
N 0.705 0.030 0.510 (multiplicity 1)
N 0.711 0.277 0.293 (multiplicity 1)
N 0.764 0.321 0.835 (multiplicity 1)
N 0.787 0.801 0.269 (multiplicity 1)
N 0.799 0.046 0.054 (multiplicity 1)
N 0.977 0.776 0.052 (multiplicity 1)
O 0.023 0.085 0.793 (multiplicity 1)
O 0.265 0.000 0.020 (multiplicity 1)
O 0.470 0.812 0.039 (multiplicity 1)
O 0.528 0.309 0.508 (multiplicity 1)
O 0.530 0.583 0.337 (multiplicity 1)
O 0.741 0.764 0.728 (multiplicity 1)
O 0.980 0.496 0.232 (multiplicity 1)
O 0.982 0.545 0.737 (multiplicity 1)

Top 10 peaks for 10° ≤ 2θ ≤ 90°, sorted by position:
d (Å)  I (rel.)  h k l
3.876  22  1 0 1
2.741  100  -3 1 1
2.374  14  -2 2 2
2.238  6  -2 1 3
2.025  12  1 1 2
1.862  11  0 1 3
1.679  32  4 0 0
1.677  7  4 -4 0
1.541  6  -3 2 4
1.432  16  5 -3 1



The following is a computed X-ray powder pattern of Al2O3. It was derived from a cell relaxed with PBE, using λ = 1.5418 Å (Cu Kα).
Kinematic intensities with the Lorentz-polarization factor, no thermal factor.

Cell and atoms:
Unit cell a=5.592 b=5.882 c=14.192 alpha=78.20 beta=86.74 gamma=64.59
Space group P1 (No. 1)
Unique sites:
Al 0.000 0.000 0.000 (multiplicity 1)
Al 0.017 0.159 0.585 (multiplicity 1)
Al 0.113 0.560 0.488 (multiplicity 1)
Al 0.222 0.659 0.306 (multiplicity 1)
Al 0.249 0.447 0.985 (multiplicity 1)
Al 0.336 0.672 0.807 (multiplicity 1)
Al 0.363 0.841 0.165 (multiplicity 1)
Al 0.411 0.164 0.772 (multiplicity 1)
Al 0.503 0.290 0.609 (multiplicity 1)
Al 0.523 0.926 0.978 (multiplicity 1)
Al 0.582 0.732 0.578 (multiplicity 1)
Al 0.632 0.169 0.375 (multiplicity 1)
Al 0.665 0.274 0.160 (multiplicity 1)
Al 0.713 0.642 0.335 (multiplicity 1)
Al 0.882 0.750 0.143 (multiplicity 1)
Al 0.950 0.211 0.820 (multiplicity 1)
O 0.006 0.024 0.147 (multiplicity 1)
O 0.031 0.921 0.867 (multiplicity 1)
O 0.121 0.091 0.708 (multiplicity 1)
O 0.156 0.383 0.861 (multiplicity 1)
O 0.189 0.193 0.014 (multiplicity 1)
O 0.217 0.274 0.532 (multiplicity 1)
O 0.241 0.567 0.176 (multiplicity 1)
O 0.241 0.793 0.536 (multiplicity 1)
O 0.277 0.489 0.701 (multiplicity 1)
O 0.280 0.421 0.375 (multiplicity 1)
O 0.350 0.727 0.018 (multiplicity 1)
O 0.381 0.866 0.312 (multiplicity 1)
O 0.507 0.883 0.846 (multiplicity 1)
O 0.554 0.023 0.164 (multiplicity 1)
O 0.607 0.360 0.834 (multiplicity 1)
O 0.609 0.998 0.657 (multiplicity 1)
O 0.629 0.207 0.020 (multiplicity 1)
O 0.704 0.339 0.301 (multiplicity 1)
O 0.713 0.569 0.173 (multiplicity 1)
O 0.720 0.463 0.634 (multiplicity 1)
O 0.729 0.152 0.496 (multiplicity 1)
O 0.766 0.654 0.467 (multiplicity 1)
O 0.875 0.840 0.323 (multiplicity 1)
O 0.884 0.720 0.012 (multiplicity 1)

Top 10 peaks for 10° ≤ 2θ ≤ 90°, sorted by position:
d (Å)  I (rel.)  h k l
5.230  100  0 1 1
4.793  19  1 0 -1
4.692  23  1 0 1
2.928  15  -1 1 2
2.863  19  1 2 0
2.777  22  0 0 5
2.469  31  2 0 1
2.314  55  0 0 6
1.965  29  2 -1 0
1.705  19  2 3 -2